Entry 1:
# Eu3Pd
Theoretical XRD peak list, Cu Ka. Input: a crystal structure in Alexandria, relaxed with PBE.
Neutral-atom scattering factors, no anomalous dispersion.

Most intense lines, 2θ from 5° to 70°, by intensity:
2θ = 31.8°, I = 100.0, (1 1 2)
2θ = 31.1°, I = 34.8, (0 2 0)
2θ = 27.7°, I = 28.7, (0 1 3)
2θ = 55.8°, I = 20.0, (1 3 2)
2θ = 57.2°, I = 19.1, (2 2 0)
2θ = 46.8°, I = 17.5, (2 0 0)
2θ = 41.8°, I = 15.2, (0 1 5)
2θ = 30.7°, I = 10.6, (0 0 4)
2θ = 56.1°, I = 9.7, (1 2 5)
2θ = 32.6°, I = 9.6, (1 0 3)
2θ = 55.2°, I = 9.2, (2 1 3)
2θ = 24.1°, I = 9.1, (1 0 1)

```
8
Lattice="3.8877 0.0000 0.0000 0.0000 5.7449 0.0000 0.0000 0.0000 11.6478" Properties=species:S:1:pos:R:3 pbc="T T T"
Eu 0.0000 0.0000 0.0000
Eu 0.0000 2.8724 2.2528
Eu 0.0000 2.8724 9.3950
Eu 1.9439 0.0000 3.5711
Eu 1.9439 0.0000 8.0768
Eu 1.9439 2.8724 5.8239
Pd 0.0000 0.0000 5.8239
Pd 1.9439 2.8724 0.0000
```



Entry 2:
# Sr2CdTc
Theoretical XRD peak list, Cu Ka. Input: a crystal structure in Alexandria, relaxed with PBE.
Neutral-atom scattering factors, no anomalous dispersion.

Most intense lines, 2θ from 5° to 70°, by intensity:
2θ = 28.2°, I = 100.0, (1 1 1)
2θ = 35.5°, I = 83.2, (1 1 3)
2θ = 29.8°, I = 58.6, (0 1 3)
2θ = 35.8°, I = 47.8, (1 0 4)
2θ = 38.3°, I = 35.7, (2 0 0)
2θ = 14.9°, I = 34.3, (0 0 2)
2θ = 39.3°, I = 33.1, (0 2 0)
2θ = 49.3°, I = 28.4, (2 1 3)
2θ = 54.2°, I = 28.1, (1 2 4)
2θ = 65.4°, I = 23.2, (1 2 6)
2θ = 56.0°, I = 22.9, (2 2 0)
2θ = 50.1°, I = 19.6, (1 0 6)

```
8
Lattice="4.7056 0.0000 0.0000 0.0000 4.5873 0.0000 0.0000 0.0000 11.8581" Properties=species:S:1:pos:R:3 pbc="T T T"
Sr 0.0000 0.0000 0.0000
Sr 0.0000 2.2937 5.9290
Sr 2.3528 0.0000 3.3936
Sr 2.3528 2.2937 9.3227
Cd 0.0000 0.0000 8.3472
Cd 0.0000 2.2937 2.4182
Tc 2.3528 0.0000 6.9376
Tc 2.3528 2.2937 1.0085
```



Q: What is the formula in the second record?
A: Sr2CdTc